Computed powder XRD pattern
Compound: MgSi2
Radiation: Cu Kα
Structure: a crystal structure in the Materials Project, relaxed with PBE
Peak positions follow from Bragg's law for the DFT cell and can differ from measured ones.

The 6 most intense peaks (2θ from 5° to 70°), sorted by position:
- d 3.495, 2θ 25.49, I = 40, (1 0 -1)
- d 3.101, 2θ 28.79, I = 31, (1 0 -2)
- d 2.782, 2θ 32.18, I = 37, (1 0 3)
- d 2.417, 2θ 37.20, I = 100, (0 2 -1)
- d 2.206, 2θ 40.90, I = 30, (1 2 2)
- d 1.799, 2θ 50.75, I = 29, (1 0 6)

Structure:
```
data_MgSi2
_chemical_formula_sum 'Mg4 Si8'
_cell_length_a 3.725
_cell_length_b 5.231
_cell_length_c 12.315
_cell_angle_alpha 79.30
_cell_angle_beta 86.60
_cell_angle_gamma 83.81
_symmetry_space_group_name_H-M 'P 1'
_symmetry_Int_Tables_number 1
_symmetry_space_group_name_Hall 'P 1'
loop_
_atom_site_label
_atom_site_type_symbol
_atom_site_fract_x
_atom_site_fract_y
_atom_site_fract_z
_atom_site_occupancy
Mg1 Mg 0.000 0.000 0.000 1
Mg2 Mg 0.127 0.225 0.348 1
Mg3 Mg 0.431 0.869 0.774 1
Mg4 Mg 0.582 0.492 0.125 1
Si1 Si 0.089 0.305 0.574 1
Si2 Si 0.282 0.860 0.550 1
Si3 Si 0.434 0.993 0.175 1
Si4 Si 0.490 0.315 0.866 1
Si5 Si 0.550 0.421 0.670 1
Si6 Si 0.826 0.729 0.456 1
Si7 Si 0.953 0.554 0.921 1
Si8 Si 0.955 0.748 0.261 1
```

=====

Computed powder XRD pattern
Compound: LiAsO3
Radiation: Cu Kα
Structure: a crystal structure in the Materials Project, relaxed with PBE
Peak positions follow from Bragg's law for the DFT cell and can differ from measured ones.

The 6 most intense peaks (2θ from 5° to 70°), sorted by position:
- d 4.867, 2θ 18.23, I = 67, (2 0 0)
- d 3.455, 2θ 25.79, I = 100, (0 2 1)
- d 3.225, 2θ 27.66, I = 59, (2 2 -1)
- d 3.073, 2θ 29.06, I = 29, (3 1 0)
- d 2.645, 2θ 33.89, I = 30, (2 0 -2)
- d 2.533, 2θ 35.44, I = 19, (2 2 1)

Structure:
```
data_LiAsO3
_chemical_formula_sum 'Li8 As8 O24'
_cell_length_a 10.446
_cell_length_b 9.572
_cell_length_c 5.358
_cell_angle_alpha 90.00
_cell_angle_beta 111.29
_cell_angle_gamma 90.00
_symmetry_space_group_name_H-M 'C 1 2/c 1'
_symmetry_Int_Tables_number 15
_symmetry_space_group_name_Hall '-C 2yc'
loop_
_atom_site_label
_atom_site_type_symbol
_atom_site_fract_x
_atom_site_fract_y
_atom_site_fract_z
_atom_site_occupancy
Li1 Li 0.000 0.115 0.250 1
Li2 Li 0.000 0.212 0.750 1
As1 As 0.209 0.405 0.233 1
O1 O 0.119 0.085 0.641 1
O2 O 0.127 0.253 0.127 1
O3 O 0.138 0.470 0.469 1
```

=====

Computed powder XRD pattern
Compound: Li3Sb2P5O18
Radiation: Cu Kα
Structure: a crystal structure in the Materials Project, relaxed with PBE
Peak positions follow from Bragg's law for the DFT cell and can differ from measured ones.

The 6 most intense peaks (2θ from 5° to 70°), sorted by position:
- d 7.679, 2θ 11.52, I = 100, (0 1 -1)
- d 5.504, 2θ 16.10, I = 49, (1 0 1)
- d 4.897, 2θ 18.11, I = 71, (-1 1 1)
- d 4.627, 2θ 19.18, I = 74, (0 2 -1)
- d 3.469, 2θ 25.68, I = 75, (0 2 2)
- d 3.313, 2θ 26.91, I = 45, (0 1 3)

Structure:
```
data_Li3Sb2P5O18
_chemical_formula_sum 'Li6 Sb4 P10 O36'
_cell_length_a 6.579
_cell_length_b 9.788
_cell_length_c 11.039
_cell_angle_alpha 95.77
_cell_angle_beta 92.90
_cell_angle_gamma 91.14
_symmetry_space_group_name_H-M 'P 1'
_symmetry_Int_Tables_number 1
_symmetry_space_group_name_Hall 'P 1'
loop_
_atom_site_label
_atom_site_type_symbol
_atom_site_fract_x
_atom_site_fract_y
_atom_site_fract_z
_atom_site_occupancy
Li1 Li 0.000 0.000 0.000 1
Li2 Li 0.094 0.699 0.952 1
Li3 Li 0.251 0.177 0.147 1
Li4 Li 0.552 0.451 0.476 1
Li5 Li 0.788 0.638 0.646 1
Li6 Li 0.883 0.798 0.433 1
Sb1 Sb 0.134 0.165 0.700 1
Sb2 Sb 0.218 0.581 0.266 1
Sb3 Sb 0.577 0.047 0.354 1
Sb4 Sb 0.672 0.469 0.921 1
P1 P 0.053 0.388 0.500 1
P2 P 0.074 0.097 0.405 1
P3 P 0.128 0.833 0.697 1
P4 P 0.181 0.390 0.951 1
P5 P 0.383 0.863 0.106 1
P6 P 0.429 0.766 0.509 1
P7 P 0.628 0.242 0.673 1
P8 P 0.687 0.801 0.909 1
P9 P 0.724 0.540 0.220 1
P10 P 0.749 0.249 0.126 1
O1 O 0.114 0.253 0.869 1
O2 O 0.121 0.986 0.766 1
O3 O 0.137 0.345 0.627 1
O4 O 0.157 0.737 0.793 1
O5 O 0.172 0.072 0.532 1
O6 O 0.228 0.437 0.428 1
O7 O 0.235 0.358 0.079 1
O8 O 0.242 0.101 0.316 1
O9 O 0.244 0.742 0.137 1
O10 O 0.249 0.733 0.410 1
O11 O 0.270 0.985 0.069 1
O12 O 0.331 0.848 0.622 1
O13 O 0.362 0.465 0.894 1
O14 O 0.445 0.174 0.733 1
O15 O 0.490 0.792 0.991 1
O16 O 0.532 0.641 0.550 1
O17 O 0.542 0.528 0.298 1
O18 O 0.550 0.898 0.210 1
O19 O 0.570 0.272 0.545 1
O20 O 0.571 0.198 0.193 1
O21 O 0.579 0.867 0.459 1
O22 O 0.653 0.571 0.089 1
O23 O 0.655 0.893 0.811 1
O24 O 0.671 0.292 0.997 1
O25 O 0.684 0.643 0.845 1
O26 O 0.693 0.381 0.754 1
O27 O 0.820 0.149 0.680 1
O28 O 0.833 0.394 0.203 1
O29 O 0.874 0.822 0.995 1
O30 O 0.875 0.481 0.514 1
O31 O 0.884 0.643 0.280 1
O32 O 0.907 0.990 0.365 1
O33 O 0.927 0.157 0.114 1
O34 O 0.953 0.797 0.604 1
O35 O 0.966 0.243 0.423 1
O36 O 0.995 0.491 0.944 1
```

=====

Computed powder XRD pattern
Compound: YAl3
Radiation: Cu Kα
Structure: a crystal structure in the Materials Project, relaxed with PBE
Peak positions follow from Bragg's law for the DFT cell and can differ from measured ones.

The 6 most intense peaks (2θ from 5° to 70°), sorted by position:
- d 3.771, 2θ 23.60, I = 53, (1 0 4)
- d 3.326, 2θ 26.80, I = 54, (0 1 5)
- d 3.099, 2θ 28.81, I = 47, (1 1 0)
- d 2.394, 2θ 37.57, I = 100, (0 2 4)
- d 2.354, 2θ 38.23, I = 48, (0 0 9)
- d 2.268, 2θ 39.75, I = 94, (2 0 5)

Structure:
```
data_YAl3
_chemical_formula_sum 'Y9 Al27'
_cell_length_a 6.1988
_cell_length_b 6.1988
_cell_length_c 21.1894
_cell_angle_alpha 90.00
_cell_angle_beta 90.00
_cell_angle_gamma 120.00
_symmetry_space_group_name_H-M 'R -3 m'
_symmetry_Int_Tables_number 166
_symmetry_space_group_name_Hall '-R 3 2"'
loop_
_atom_site_label
_atom_site_type_symbol
_atom_site_fract_x
_atom_site_fract_y
_atom_site_fract_z
_atom_site_occupancy
Y1 Y 0.0000 0.0000 0.0000 1
Y2 Y 0.0000 0.0000 0.2181 1
Al1 Al 0.0000 0.5000 0.0000 1
Al2 Al 0.0404 0.5202 0.2230 1
```

=====

Computed powder XRD pattern
Compound: LuSiIr
Radiation: Cu Kα
Structure: a crystal structure in the Materials Project, relaxed with PBE
Peak positions follow from Bragg's law for the DFT cell and can differ from measured ones.

The 6 most intense peaks (2θ from 5° to 70°), sorted by position:
- d 3.199, 2θ 27.89, I = 64, (1 1 1)
- d 2.564, 2θ 35.00, I = 100, (1 1 2)
- d 2.467, 2θ 36.42, I = 91, (2 1 1)
- d 2.141, 2θ 42.21, I = 62, (3 0 1)
- d 2.129, 2θ 42.47, I = 50, (0 1 3)
- d 2.088, 2θ 43.34, I = 51, (0 2 0)

Structure:
```
data_LuSiIr
_chemical_formula_sum 'Lu4 Si4 Ir4'
_cell_length_a 6.711
_cell_length_b 4.175
_cell_length_c 7.423
_cell_angle_alpha 90.00
_cell_angle_beta 90.00
_cell_angle_gamma 90.00
_symmetry_space_group_name_H-M 'P n m a'
_symmetry_Int_Tables_number 62
_symmetry_space_group_name_Hall '-P 2ac 2n'
loop_
_atom_site_label
_atom_site_type_symbol
_atom_site_fract_x
_atom_site_fract_y
_atom_site_fract_z
_atom_site_occupancy
Lu1 Lu 0.006 0.250 0.187 1
Si1 Si 0.206 0.750 0.386 1
Ir1 Ir 0.159 0.250 0.565 1
```

=====

Computed powder XRD pattern
Compound: TaTeCl9
Radiation: Cu Kα
Structure: a crystal structure in the Materials Project, relaxed with PBE
Peak positions follow from Bragg's law for the DFT cell and can differ from measured ones.

The 6 most intense peaks (2θ from 5° to 70°), sorted by position:
- d 6.221, 2θ 14.24, I = 100, (1 1 -1)
- d 5.431, 2θ 16.32, I = 64, (4 0 0)
- d 4.803, 2θ 18.47, I = 35, (0 0 4)
- d 3.743, 2θ 23.77, I = 29, (5 1 -1)
- d 3.425, 2θ 26.02, I = 25, (1 1 -5)
- d 2.963, 2θ 30.16, I = 24, (3 1 -6)

Structure:
```
data_TaTeCl9
_chemical_formula_sum 'Ta8 Te8 Cl72'
_cell_length_a 22.651
_cell_length_b 6.681
_cell_length_c 20.089
_cell_angle_alpha 90.00
_cell_angle_beta 106.98
_cell_angle_gamma 90.00
_symmetry_space_group_name_H-M 'C 1 2/c 1'
_symmetry_Int_Tables_number 15
_symmetry_space_group_name_Hall '-C 2yc'
loop_
_atom_site_label
_atom_site_type_symbol
_atom_site_fract_x
_atom_site_fract_y
_atom_site_fract_z
_atom_site_occupancy
Ta1 Ta 0.145 0.203 0.374 1
Te1 Te 0.082 0.303 0.160 1
Cl1 Cl 0.027 0.424 0.597 1
Cl2 Cl 0.046 0.051 0.360 1
Cl3 Cl 0.087 0.465 0.295 1
Cl4 Cl 0.088 0.108 0.064 1
Cl5 Cl 0.137 0.377 0.470 1
Cl6 Cl 0.145 0.025 0.265 1
Cl7 Cl 0.177 0.456 0.174 1
Cl8 Cl 0.195 0.070 0.934 1
Cl9 Cl 0.234 0.368 0.372 1
```

=====

Computed powder XRD pattern
Compound: Sc2V3Si4
Radiation: Cu Kα
Structure: a crystal structure in the Materials Project, relaxed with PBE
Peak positions follow from Bragg's law for the DFT cell and can differ from measured ones.

The 6 most intense peaks (2θ from 5° to 70°), sorted by position:
- d 2.567, 2θ 34.95, I = 27, (1 1 4)
- d 2.401, 2θ 37.46, I = 76, (2 1 3)
- d 2.303, 2θ 39.12, I = 97, (2 2 1)
- d 2.175, 2θ 41.53, I = 100, (1 1 5)
- d 2.079, 2θ 43.52, I = 82, (3 0 2)
- d 1.393, 2θ 67.22, I = 25, (3 3 4)

Structure:
```
data_Sc2V3Si4
_chemical_formula_sum 'Sc8 V12 Si16'
_cell_length_a 6.631
_cell_length_b 6.631
_cell_length_c 12.273
_cell_angle_alpha 90.00
_cell_angle_beta 90.00
_cell_angle_gamma 90.00
_symmetry_space_group_name_H-M 'P 41 21 2'
_symmetry_Int_Tables_number 92
_symmetry_space_group_name_Hall 'P 4abw 2nw'
loop_
_atom_site_label
_atom_site_type_symbol
_atom_site_fract_x
_atom_site_fract_y
_atom_site_fract_z
_atom_site_occupancy
Sc1 Sc 0.002 0.338 0.220 1
V1 V 0.008 0.844 0.123 1
V2 V 0.168 0.168 0.000 1
Si1 Si 0.040 0.294 0.814 1
Si2 Si 0.131 0.796 0.930 1
```

=====

Computed powder XRD pattern
Compound: Pr5Ni19
Radiation: Cu Kα
Structure: a crystal structure in the Materials Project, relaxed with PBE
Peak positions follow from Bragg's law for the DFT cell and can differ from measured ones.

The 6 most intense peaks (2θ from 5° to 70°), sorted by position:
- d 2.777, 2θ 32.24, I = 53, (1 0 9)
- d 2.506, 2θ 35.84, I = 43, (1 1 0)
- d 2.167, 2θ 41.69, I = 44, (2 0 1)
- d 2.133, 2θ 42.38, I = 100, (1 1 8)
- d 1.435, 2θ 65.00, I = 18, (2 0 17)
- d 1.363, 2θ 68.89, I = 24, (3 0 8)

Structure:
```
data_Pr5Ni19
_chemical_formula_sum 'Pr10 Ni38'
_cell_length_a 5.0114
_cell_length_b 5.0114
_cell_length_c 32.5134
_cell_angle_alpha 90.00
_cell_angle_beta 90.00
_cell_angle_gamma 120.00
_symmetry_space_group_name_H-M 'P 63/m m c'
_symmetry_Int_Tables_number 194
_symmetry_space_group_name_Hall '-P 6c 2c'
loop_
_atom_site_label
_atom_site_type_symbol
_atom_site_fract_x
_atom_site_fract_y
_atom_site_fract_z
_atom_site_occupancy
Pr1 Pr 0.3333 0.6667 0.0227 1
Pr2 Pr 0.3333 0.6667 0.1328 1
Pr3 Pr 0.3333 0.6667 0.2500 1
Ni1 Ni 0.0000 0.0000 0.0000 1
Ni2 Ni 0.0000 0.0000 0.1280 1
Ni3 Ni 0.0000 0.0000 0.2500 1
Ni4 Ni 0.1656 0.3313 0.5664 1
Ni5 Ni 0.1674 0.3347 0.6893 1
Ni6 Ni 0.3333 0.6667 0.6273 1
Ni7 Ni 0.3333 0.6667 0.7500 1
```